Th2ZnPb: theoretical powder X-ray diffraction pattern (a wavelength of 1.5418 Å), based on a structure optimized by DFT (PBE).
Intensities are scaled so that the largest is 100.

Most intense lines, 5 to 70 degrees two-theta, sorted by position:
| Position (°2θ) | Rel. int. | h k l |
| --- | --- | --- |
| 25.74 | 22 | 1 1 -1 |
| 29.65 | 100 | 1 1 1 |
| 29.78 | 94 | 0 1 2 |
| 29.92 | 32 | 2 0 0 |
| 30.33 | 87 | 2 0 -2 |
| 36.71 | 46 | 2 1 0 |
| 37.04 | 98 | 2 1 -2 |
| 39.82 | 45 | 1 0 3 |
| 42.27 | 42 | 0 2 0 |
| 51.19 | 22 | 1 0 -5 |
| 52.90 | 38 | 2 2 -2 |
| 59.46 | 29 | 1 2 3 |

Crystal structure
abc: 6.340 4.277 8.936
angles: 90.00 109.61 90.00
Sites, in units of the cell vectors:
Th 0.194 0.250 0.416
Th 0.257 0.750 0.060
Th 0.743 0.250 0.940
Th 0.806 0.750 0.584
Zn 0.132 0.250 0.787
Zn 0.868 0.750 0.213
Pb 0.377 0.750 0.713
Pb 0.623 0.250 0.287



Rb2In2Br7: theoretical powder X-ray diffraction pattern (a wavelength of 1.5418 Å), based on a structure optimized by DFT (PBE).
Intensities are scaled so that the largest is 100.

Most intense lines, 5 to 70 degrees two-theta, sorted by position:
| Position (°2θ) | Rel. int. | h k l |
| --- | --- | --- |
| 14.50 | 40 | 0 2 1 |
| 18.45 | 75 | 1 2 -1 |
| 18.67 | 100 | 1 1 1 |
| 20.42 | 58 | 1 3 0 |
| 21.84 | 25 | 1 3 -1 |
| 24.69 | 81 | 1 2 -2 |
| 25.88 | 22 | 1 4 -1 |
| 26.10 | 21 | 1 0 2 |
| 31.83 | 36 | 1 1 -3 |
| 36.36 | 21 | 2 0 2 |
| 36.76 | 24 | 2 4 1 |
| 37.71 | 50 | 0 6 2 |

Crystal structure
abc: 6.822 17.089 8.858
angles: 90.00 99.55 90.00
Sites, in units of the cell vectors:
Rb 0.155 0.149 0.430
Rb 0.155 0.351 0.930
Rb 0.845 0.649 0.070
Rb 0.845 0.851 0.570
In 0.314 0.612 0.643
In 0.314 0.888 0.143
In 0.686 0.112 0.857
In 0.686 0.388 0.357
Br 0.008 0.163 0.030
Br 0.008 0.337 0.530
Br 0.211 0.553 0.894
Br 0.211 0.947 0.394
Br 0.468 0.232 0.745
Br 0.468 0.268 0.245
Br 0.500 0.000 0.000
Br 0.500 0.500 0.500
Br 0.532 0.732 0.755
Br 0.532 0.768 0.255
Br 0.789 0.053 0.606
Br 0.789 0.447 0.106
Br 0.992 0.663 0.470
Br 0.992 0.837 0.970